This entry pairs a crystal structure of Pr3Sm4Ag with its theoretical X-ray powder pattern. Radiation: Cu Kα (weighted mean of Kα1 and Kα2). Structure: a cell relaxed with PBE.
Kinematic intensities with the Lorentz-polarization factor, no thermal factor.

Structure:
```
data_Pr3Sm4Ag
_cell_length_a 3.6796
_cell_length_b 3.6796
_cell_length_c 19.3784
_cell_angle_alpha 90.00
_cell_angle_beta 90.00
_cell_angle_gamma 90.00
_space_group_name_H-M_alt 'P 4/m m m'
_space_group_IT_number 123
_space_group_name_Hall '-P 4 2'
loop_
_atom_site_label
_atom_site_fract_x
_atom_site_fract_y
_atom_site_fract_z
Pr1 0.0000 0.0000 0.0000
Pr2 0.0000 0.0000 0.2678
Sm1 0.5000 0.5000 0.1344
Sm2 0.5000 0.5000 0.4022
Ag1 0.0000 0.0000 0.5000
```

The 10 most intense peaks (2θ from 10° to 90°), sorted by position:
- 27.91 deg, intensity 10, hkl 1 0 3
- 30.51 deg, intensity 100, hkl 1 0 4
- 34.47 deg, intensity 44, hkl 1 1 0
- 37.10 deg, intensity 10, hkl 0 0 8
- 47.99 deg, intensity 11, hkl 1 1 7
- 49.55 deg, intensity 16, hkl 2 0 0
- 51.55 deg, intensity 12, hkl 1 1 8
- 58.05 deg, intensity 11, hkl 1 0 11
- 59.31 deg, intensity 30, hkl 2 1 4
- 79.74 deg, intensity 9, hkl 2 1 11



This entry pairs a crystal structure of Zr3Ta with its theoretical X-ray powder pattern. Radiation: Cu Kα (weighted mean of Kα1 and Kα2). Structure: a cell relaxed with PBE.
Kinematic intensities with the Lorentz-polarization factor, no thermal factor.

Structure:
```
data_Zr3Ta
_cell_length_a 3.4345
_cell_length_b 4.9248
_cell_length_c 10.1931
_cell_angle_alpha 90.00
_cell_angle_beta 90.00
_cell_angle_gamma 90.00
_space_group_name_H-M_alt 'C m m m'
_space_group_IT_number 65
_space_group_name_Hall '-C 2 2'
loop_
_atom_site_label
_atom_site_fract_x
_atom_site_fract_y
_atom_site_fract_z
Zr1 0.0000 0.0000 0.0000
Zr2 0.0000 0.5000 0.2672
Ta1 0.0000 0.0000 0.5000
```

The 10 most intense peaks (2θ from 10° to 90°), sorted by position:
- 35.22 deg, intensity 21, hkl 0 0 4
- 36.45 deg, intensity 100, hkl 0 2 0
- 41.65 deg, intensity 6, hkl 1 1 3
- 51.62 deg, intensity 14, hkl 0 2 4
- 53.35 deg, intensity 7, hkl 2 0 0
- 64.00 deg, intensity 13, hkl 1 1 6
- 65.61 deg, intensity 21, hkl 1 3 2
- 66.37 deg, intensity 7, hkl 2 2 0
- 77.42 deg, intensity 8, hkl 2 2 4
- 87.35 deg, intensity 6, hkl 1 3 6



This entry pairs a crystal structure of Tb2Sm2ErTm2 with its theoretical X-ray powder pattern. Radiation: Cu Kα (weighted mean of Kα1 and Kα2). Structure: a cell relaxed with PBE.
Kinematic intensities with the Lorentz-polarization factor, no thermal factor.

Structure:
```
data_Tb2Sm2ErTm2
_cell_length_a 5.6470
_cell_length_b 5.6470
_cell_length_c 24.4079
_cell_angle_alpha 90.00
_cell_angle_beta 90.00
_cell_angle_gamma 120.00
_space_group_name_H-M_alt 'R -3 m'
_space_group_IT_number 166
_space_group_name_Hall '-R 3 2"'
loop_
_atom_site_label
_atom_site_fract_x
_atom_site_fract_y
_atom_site_fract_z
Tb1 0.0000 0.0000 0.2146
Sm1 0.0000 0.0000 0.3611
Er1 0.0000 0.0000 0.5000
Tm1 0.0000 0.0000 0.0717
```

The 10 most intense peaks (2θ from 10° to 90°), sorted by position:
- 31.51 deg, intensity 100, hkl 1 0 7
- 31.69 deg, intensity 99, hkl 1 1 0
- 45.30 deg, intensity 37, hkl 0 2 7
- 56.00 deg, intensity 19, hkl 0 1 14
- 56.34 deg, intensity 39, hkl 2 1 7
- 56.45 deg, intensity 19, hkl 3 0 0
- 65.79 deg, intensity 12, hkl 2 0 14
- 66.20 deg, intensity 12, hkl 2 2 0
- 74.87 deg, intensity 16, hkl 1 2 14
- 75.16 deg, intensity 17, hkl 1 3 7



This entry pairs a crystal structure of LaPmBN2 with its theoretical X-ray powder pattern. Radiation: Cu Kα (weighted mean of Kα1 and Kα2). Structure: a cell relaxed with PBE.
Kinematic intensities with the Lorentz-polarization factor, no thermal factor.

Structure:
```
data_LaPmBN2
_cell_length_a 3.8581
_cell_length_b 4.0771
_cell_length_c 5.9259
_cell_angle_alpha 90.00
_cell_angle_beta 106.15
_cell_angle_gamma 90.00
_space_group_name_H-M_alt 'P 1 2/m 1'
_space_group_IT_number 10
loop_
_space_group_symop_operation_xyz
'x,y,z'
'-x,-y,-z'
'-x,y,-z'
'x,-y,z'
loop_
_atom_site_label
_atom_site_fract_x
_atom_site_fract_y
_atom_site_fract_z
La1 0.0000 0.0000 0.0000
Pm1 0.0000 0.5000 0.5000
B1 0.5000 0.0000 0.5000
N1 0.3730 0.0000 0.6975
```

The 10 most intense peaks (2θ from 10° to 90°), sorted by position:
- 24.01 deg, intensity 61, hkl 1 0 0
- 26.90 deg, intensity 100, hkl 0 1 1
- 31.43 deg, intensity 35, hkl 0 0 2
- 33.22 deg, intensity 64, hkl 1 1 -1
- 33.96 deg, intensity 35, hkl 1 0 -2
- 39.29 deg, intensity 51, hkl 1 1 1
- 44.44 deg, intensity 18, hkl 0 2 0
- 52.53 deg, intensity 20, hkl 2 1 -1
- 52.71 deg, intensity 18, hkl 1 1 -3
- 53.25 deg, intensity 19, hkl 0 1 3